Simulated powder X-ray diffraction pattern
Compound: Tc4Ag
Radiation: CuKα
Structure: the PBE geometry in Alexandria
Intensities are scaled so that the largest is 100.

Largest 11 diffraction maxima, by angle, 2θ from 10° to 90°:
29.1°, I 1
39.9°, I 100
45.4°, I 17
46.8°, I 30
50.1°, I 1
67.1°, I 1
67.3°, I 20
68.4°, I 9
80.1°, I 12
82.2°, I 21
85.9°, I 10

Atomic structure:
a = 4.777 Å, b = 4.777 Å, c = 4.777 Å
α = 100.07°, β = 100.07°, γ = 130.55°
Sites, in units of the cell vectors:
1 Tc 0.084 0.697 0.781
2 Tc 0.303 0.084 0.387
3 Tc 0.697 0.916 0.613
4 Tc 0.916 0.303 0.219
5 Ag 0.500 0.500 0.000